Calculated X-ray diffraction stick pattern
Compound: Li3Mn2Si2O8
Radiation: a wavelength of 1.5418 Å
Structure: a structure optimized by DFT (GGA+U)

Peak list (12 most intense, 2θ from 10° to 90°, sorted by position)
h k l, 2θ/deg, I (rel.)
1 1 -1, 20.8, 90.5
1 -1 1, 21.1, 77.8
-1 1 1, 22.6, 67.8
1 1 1, 23.1, 100.0
1 0 2, 28.4, 15.9
2 1 -1, 31.0, 36.4
2 -1 1, 31.4, 53.4
0 2 -2, 32.8, 55.6
0 2 2, 37.7, 65.1
4 0 0, 54.5, 24.6
2 3 -3, 57.2, 23.7
2 -3 3, 57.9, 22.8

```
data_Li3Mn2Si2O8
_cell_length_a 6.7333
_cell_length_b 7.2115
_cell_length_c 7.2959
_cell_angle_alpha 97.64
_cell_angle_beta 91.49
_cell_angle_gamma 90.30
_symmetry_space_group_name_H-M 'P 1'
_symmetry_Int_Tables_number 1
loop_
_symmetry_equiv_pos_as_xyz
'x,y,z'
loop_
_atom_site_label
_atom_site_type_symbol
_atom_site_fract_x
_atom_site_fract_y
_atom_site_fract_z
Li1 Li 0.0000 0.0000 0.0000
Li2 Li 0.0020 0.5043 0.5223
Li3 Li 0.2554 0.2171 0.7815
Li4 Li 0.2897 0.7535 0.2890
Li5 Li 0.7598 0.1566 0.3439
Li6 Li 0.7856 0.6894 0.8427
Mn1 Mn 0.2572 0.1826 0.3644
Mn2 Mn 0.2894 0.6355 0.8202
Mn3 Mn 0.7312 0.2612 0.7937
Mn4 Mn 0.7689 0.7114 0.2405
Si1 Si 0.0084 0.9167 0.5928
Si2 Si 0.0178 0.4305 0.1090
Si3 Si 0.5146 0.9914 0.0308
Si4 Si 0.5323 0.5197 0.5314
O1 O 0.0127 0.2284 0.1895
O2 O 0.0219 0.7276 0.6998
O3 O 0.0388 0.5993 0.2857
O4 O 0.1852 0.4408 0.9546
O5 O 0.2108 0.9523 0.4847
O6 O 0.3137 0.4172 0.5786
O7 O 0.3211 0.8391 0.0225
O8 O 0.4992 0.1111 0.8577
O9 O 0.5031 0.1255 0.2279
O10 O 0.5227 0.6046 0.3370
O11 O 0.5381 0.6816 0.7145
O12 O 0.7265 0.3832 0.5480
O13 O 0.7332 0.8832 0.0431
O14 O 0.7987 0.4901 0.0200
O15 O 0.8161 0.9077 0.4423
O16 O 0.9815 0.0968 0.7567
```